No. 1
Diffraction record for ThAl8Pd4. The powder diffraction line list is theoretical, not measured: it uses a DFT-relaxed cell (GGA-PBE, Alexandria) and Cu Kα.
Intensities are scaled so that the largest is 100.

Main lines, sorted by position (2θ from 10° to 90°):
2theta, I/Imax, hkl
14.02, 36, 1 1 0
19.08, 38, 1 0 1
27.69, 46, 2 1 1
28.26, 64, 2 2 0
34.33, 26, 3 0 1
38.72, 100, 2 0 2
39.98, 43, 3 2 1
40.40, 53, 4 0 0
57.19, 45, 4 2 2
72.34, 20, 6 0 2

Atomic structure:
Lattice parameters (Å, degrees): 8.9315 8.9315 5.4481 90.00 90.00 90.00
Space group I4/mmm (No. 139)
Asymmetric unit:
Th 0.0000 0.0000 0.0000 [2 per cell]
Al 0.0000 0.2212 0.5000 [8 per cell]
Al 0.0000 0.3498 0.0000 [8 per cell]
Pd 0.2500 0.2500 0.2500 [8 per cell]

=====

No. 2
Diffraction record for Th3Al8Pd3. The powder diffraction line list is theoretical, not measured: it uses a DFT-relaxed cell (GGA-PBE, Alexandria) and Cu Kα.
Intensities are scaled so that the largest is 100.

Main lines, sorted by position (2θ from 10° to 90°):
2theta, I/Imax, hkl
19.69, 75, 2 0 -2
21.87, 53, 1 1 -1
27.96, 100, 3 1 0
33.21, 47, 2 0 2
34.38, 48, 1 1 2
34.48, 48, 5 1 -2
34.67, 79, 5 1 -1
35.80, 71, 3 1 -3
39.60, 58, 0 2 0
52.65, 39, 2 2 2

Atomic structure:
Lattice parameters (Å, degrees): 16.1397 4.5512 9.0191 90.00 123.72 90.00
Space group C2/m (No. 12)
Asymmetric unit:
Th 0.0000 0.0000 0.0000 [2 per cell]
Th 0.2158 0.5000 0.7234 [4 per cell]
Al 0.0050 0.5000 0.3339 [4 per cell]
Al 0.1322 0.0000 0.8411 [4 per cell]
Al 0.1475 0.0000 0.4345 [4 per cell]
Al 0.1506 0.5000 0.0146 [4 per cell]
Pd 0.0000 0.0000 0.5000 [2 per cell]
Pd 0.1509 0.5000 0.2981 [4 per cell]

=====

No. 3
Diffraction record for Ti5Al5Pd. The powder diffraction line list is theoretical, not measured: it uses a DFT-relaxed cell (GGA-PBE, Alexandria) and Cu Kα.
Intensities are scaled so that the largest is 100.

Main lines, sorted by position (2θ from 10° to 90°):
2theta, I/Imax, hkl
17.20, 20, 0 1 1
19.42, 23, 1 0 1
26.02, 47, 1 0 3
32.50, 21, 0 2 0
36.88, 44, 0 0 6
37.38, 46, 2 0 0
42.09, 100, 1 2 3
53.52, 28, 2 0 6
70.00, 17, 1 2 9
70.65, 20, 3 2 3

Atomic structure:
Lattice parameters (Å, degrees): 4.8119 5.5103 14.6252 90.00 90.00 90.00
Space group Immm (No. 71)
Asymmetric unit:
Ti 0.0000 0.0000 0.0000 [2 per cell]
Ti 0.0000 0.0000 0.3189 [4 per cell]
Ti 0.0000 0.5000 0.3311 [4 per cell]
Al 0.0000 0.0000 0.5000 [2 per cell]
Al 0.0000 0.2546 0.1582 [8 per cell]
Pd 0.0000 0.5000 0.0000 [2 per cell]

=====

No. 4
Diffraction record for Ti7Al2Pd2. The powder diffraction line list is theoretical, not measured: it uses a DFT-relaxed cell (GGA-PBE, Alexandria) and Cu Kα.
Intensities are scaled so that the largest is 100.

Main lines, sorted by position (2θ from 10° to 90°):
2theta, I/Imax, hkl
14.17, 46, 0 0 1
17.08, 84, 0 1 0
34.06, 40, 2 1 1
37.20, 66, 1 0 -2
37.64, 61, 0 2 2
39.26, 81, 2 0 2
41.10, 100, 2 0 -1
41.58, 88, 0 2 -1
42.25, 68, 2 2 1
43.45, 61, 0 0 3

Atomic structure:
Lattice parameters (Å, degrees): 5.4655 5.5880 6.9000 69.38 72.10 77.47
Space group P-1 (No. 2)
Asymmetric unit:
Ti 0.0000 0.0000 0.0000 [1 per cell]
Ti 0.1139 0.2924 0.6323 [2 per cell]
Ti 0.4391 0.6158 0.3006 [2 per cell]
Ti 0.4508 0.1057 0.2911 [2 per cell]
Al 0.1106 0.7872 0.6510 [2 per cell]
Pd 0.2312 0.5074 0.0269 [2 per cell]

=====

Number 4 is which compound?
Ti7Al2Pd2